This entry pairs a crystal structure of AgP2Ru with its calculated X-ray powder pattern. Radiation: a wavelength of 1.5418 Å. Structure: a DFT-relaxed cell (PBE, Alexandria).

Cell and atoms:
a = 3.0515 Å, b = 3.0515 Å, c = 22.4645 Å
α = 90.00°, β = 90.00°, γ = 120.00°
Space group R3m (No. 160, hexagonal axes)
Inequivalent atoms, fractional coordinates:
Ag 0.0000 0.0000 0.0000 (multiplicity 3)
P 0.0000 0.0000 0.2433 (multiplicity 3)
P 0.0000 0.0000 0.5070 (multiplicity 3)
Ru 0.0000 0.0000 0.7718 (multiplicity 3)

Largest 6 diffraction maxima, sorted by position, 2θ = 15–90°:
two_theta	I_rel
34.2	27
36.0	20
37.6	100
39.6	33
47.2	40
60.7	25

This entry pairs a crystal structure of Na3Sm2AlSe6 with its calculated X-ray powder pattern. Radiation: a wavelength of 1.5418 Å. Structure: a DFT-relaxed cell (PBE, Alexandria).

Cell and atoms:
a = 7.105 Å, b = 12.323 Å, c = 7.401 Å
α = 90.00°, β = 108.82°, γ = 90.00°
Space group C2/m (No. 12)
Inequivalent atoms, fractional coordinates:
Na 0.000 0.000 0.000 (multiplicity 2)
Na 0.000 0.331 0.000 (multiplicity 4)
Sm 0.000 0.167 0.500 (multiplicity 4)
Al 0.000 0.500 0.500 (multiplicity 2)
Se 0.228 0.347 0.724 (multiplicity 8)
Se 0.228 0.500 0.281 (multiplicity 4)

Largest 6 diffraction maxima, sorted by position, 2θ = 15–90°:
two_theta	I_rel
30.4	100
39.3	13
42.8	23
42.9	12
44.1	33
54.5	16

This entry pairs a crystal structure of TmPuHg6 with its calculated X-ray powder pattern. Radiation: a wavelength of 1.5418 Å. Structure: a DFT-relaxed cell (PBE, Alexandria).

Cell and atoms:
a = 5.079 Å, b = 6.660 Å, c = 11.526 Å
α = 90.00°, β = 90.00°, γ = 90.00°
Space group Amm2 (No. 38)
Inequivalent atoms, fractional coordinates:
Tm 0.000 0.000 0.000 (multiplicity 2)
Pu 0.500 0.000 0.332 (multiplicity 2)
Hg 0.000 0.000 0.500 (multiplicity 2)
Hg 0.000 0.247 0.749 (multiplicity 4)
Hg 0.500 0.000 0.834 (multiplicity 2)
Hg 0.500 0.249 0.082 (multiplicity 4)

Largest 6 diffraction maxima, sorted by position, 2θ = 15–90°:
two_theta	I_rel
31.0	24
35.3	23
35.8	100
55.2	20
63.7	19
67.3	22

This entry pairs a crystal structure of Cd10PdPt4 with its calculated X-ray powder pattern. Radiation: a wavelength of 1.5418 Å. Structure: a DFT-relaxed cell (PBE, Alexandria).

Cell and atoms:
a = 10.206 Å, b = 10.206 Å, c = 6.451 Å
α = 90.00°, β = 90.00°, γ = 90.00°
Space group I4/m (No. 87)
Inequivalent atoms, fractional coordinates:
Cd 0.000 0.500 0.250 (multiplicity 4)
Cd 0.100 0.200 0.250 (multiplicity 16)
Pd 0.000 0.000 0.000 (multiplicity 2)
Pt 0.100 0.700 0.500 (multiplicity 8)

Largest 6 diffraction maxima, sorted by position, 2θ = 15–90°:
two_theta	I_rel
23.9	46
39.5	100
46.7	24
57.1	17
71.6	33
85.0	11